(1)
The following is a simulated X-ray powder pattern of Li4MnP2O8. It was derived from a cell relaxed with GGA+U, using a wavelength of 1.5418 Å.
Lines closer than 0.1° are merged.

Main lines, sorted by position (2θ from 15° to 90°):
d_spacing, intensity
4.382, 27.7
4.089, 100.0
4.024, 27.6
3.992, 81.1
3.756, 47.0
2.776, 73.1
2.637, 21.5
2.618, 43.1
2.535, 57.7
1.540, 26.0

Atomic structure:
```
60
Lattice="8.312 0.000 0.000 0.000 10.473 0.000 -2.065 0.000 7.983" Properties=species:S:1:pos:R:3 pbc="T T T"
Li -0.384 0.764 2.172
Li -1.416 4.472 6.163
Li -0.421 1.708 4.786
Li 0.611 3.529 0.794
Li -0.080 6.942 5.225
Li 0.952 8.768 1.233
Li 2.165 1.585 2.783
Li 1.132 3.651 6.774
Li 5.115 6.822 1.209
Li 4.083 8.888 5.200
Li 5.296 1.705 6.750
Li 6.328 3.531 2.758
Li 5.637 6.944 7.189
Li 6.669 8.765 3.197
Li 7.664 6.001 1.820
Li 6.631 9.709 5.811
Mn 2.552 6.871 3.256
Mn 1.520 8.838 7.248
Mn 4.728 1.635 0.735
Mn 3.695 3.602 4.727
P -0.298 0.976 7.769
P 0.734 4.260 3.777
P 2.153 6.191 0.247
P 1.121 9.519 4.238
P 5.127 0.954 3.745
P 4.095 4.282 7.736
P 5.514 6.213 4.206
P 6.546 9.497 0.214
O -1.185 1.055 6.495
O -0.153 4.181 2.504
O 0.813 6.841 0.713
O -0.219 8.868 4.704
O 1.049 1.598 1.016
O 0.017 3.639 5.007
O 0.866 0.511 3.811
O -0.166 4.726 7.802
O 1.039 5.764 4.069
O 2.071 9.945 0.078
O 0.665 6.992 7.022
O 1.697 8.718 3.031
O 1.027 1.758 7.497
O 2.059 3.479 3.505
O 3.200 6.300 1.406
O 2.168 9.410 5.397
O 4.079 1.063 2.586
O 3.047 4.173 6.577
O 4.189 6.994 4.478
O 5.221 8.715 0.486
O 4.551 1.755 4.952
O 5.583 3.481 0.961
O 4.176 0.527 7.905
O 5.209 4.709 3.914
O 6.413 5.747 0.181
O 5.381 9.962 4.172
O 6.231 6.834 2.976
O 5.198 8.875 6.967
O 6.467 1.605 3.279
O 5.434 3.632 7.270
O 6.400 6.292 5.479
O 7.433 9.418 1.488
```


(2)
The following is a simulated X-ray powder pattern of LiMnP4O14. It was derived from a cell relaxed with GGA+U, using a wavelength of 1.5418 Å.
Lines closer than 0.1° are merged.

Main lines, sorted by position (2θ from 15° to 90°):
d_spacing, intensity
4.992, 49.2
4.697, 43.3
4.288, 51.1
3.842, 26.5
3.560, 80.6
3.418, 24.6
3.340, 31.4
3.275, 100.0
3.136, 28.8
2.843, 26.3

Atomic structure:
```
40
Lattice="5.606 -6.679 0.000 5.606 6.679 0.000 -4.898 0.000 7.514" Properties=species:S:1:pos:R:3 pbc="T T T"
Li 1.933 4.833 5.635
Li 4.382 -4.833 1.878
Mn 2.803 3.340 0.000
Mn 0.354 -3.340 3.757
P 1.716 0.667 1.448
P 2.765 2.838 3.188
P -0.733 -0.667 5.205
P 5.999 2.838 0.569
P 0.315 -2.838 6.945
P 7.047 0.667 2.309
P 3.550 -2.838 4.326
P 4.598 -0.667 6.066
O 0.213 0.568 1.505
O 2.160 1.560 0.263
O 2.916 3.628 1.876
O 1.819 3.482 4.172
O -2.236 -0.568 5.262
O -0.272 2.609 7.408
O -0.049 0.683 5.074
O 2.231 1.367 2.820
O -0.289 -1.560 4.020
O 2.047 3.482 7.098
O 2.400 -0.683 1.317
O 5.848 3.628 1.881
O 4.137 2.609 3.863
O -0.218 -1.367 6.577
O 6.532 1.367 0.937
O 2.177 -2.609 3.651
O 0.467 -3.628 5.633
O 3.914 0.683 6.197
O 4.268 -3.482 0.416
O 6.603 1.560 3.494
O 4.083 -1.367 4.694
O 6.363 -0.683 2.440
O 6.586 -2.609 0.106
O 8.551 0.568 2.252
O 4.496 -3.482 3.341
O 3.399 -3.628 5.638
O 4.154 -1.560 7.251
O 6.102 -0.568 6.009
```